Starting from the GGA-PBE geometry in the Materials Project, the X-ray powder pattern of Re2C9S3O8 was computed for λ = 1.5418 Å (Cu Kα).
No peak broadening, texture or thermal motion is included.

Largest 10 diffraction maxima, sorted by position, 10° ≤ 2θ ≤ 90°:
2θ/deg  d (Å)  I (rel.)  (hkl)
12.71  6.966  89.0  0 1 -1
12.81  6.911  100.0  1 0 0
14.53  6.096  57.1  1 1 0
16.03  5.528  77.8  0 1 2
16.59  5.344  38.7  1 0 2
16.97  5.225  76.0  1 1 -1
17.44  5.084  49.8  1 1 2
18.49  4.799  37.8  1 -1 0
26.89  3.316  40.5  2 0 2
30.63  2.919  44.0  -1 2 2

Structure:
```
data_Re2C9S3O8
_chemical_formula_sum 'Re4 C18 S6 O16'
_space_group_name_H-M_alt 'P -1'
_space_group_IT_number 2
_cell_length_a 7.240
_cell_length_b 8.687
_cell_length_c 14.136
_cell_angle_alpha 83.68
_cell_angle_beta 79.47
_cell_angle_gamma 75.30
loop_
_space_group_symop_operation_xyz
'x,y,z'
'-x,-y,-z'
loop_
_atom_site_label
_atom_site_type_symbol
_atom_site_fract_x
_atom_site_fract_y
_atom_site_fract_z
Re1 Re 0.107 0.175 0.143
Re2 Re 0.184 0.316 0.552
C1 C 0.013 0.691 0.664
C2 C 0.014 0.706 0.331
C3 C 0.038 0.260 0.018
C4 C 0.120 0.923 0.832
C5 C 0.246 0.088 0.541
C6 C 0.282 0.978 0.095
C7 C 0.317 0.296 0.122
C8 C 0.368 0.346 0.431
C9 C 0.385 0.277 0.632
S1 S 0.092 0.619 0.549
S2 S 0.096 0.592 0.763
S3 S 0.139 0.127 0.320
O1 O 0.015 0.684 0.054
O2 O 0.125 0.724 0.263
O3 O 0.255 0.977 0.816
O4 O 0.291 0.949 0.538
O5 O 0.384 0.860 0.066
O6 O 0.425 0.376 0.106
O7 O 0.469 0.364 0.359
O8 O 0.491 0.757 0.322
```